Starting from a structure optimized by DFT (PBE), the powder diffractogram of AgSnPb was simulated for CuKα.
Neutral-atom scattering factors, no anomalous dispersion.

Structural model:
```
data_AgSnPb
_cell_length_a 3.901
_cell_length_b 6.373
_cell_length_c 7.288
_cell_angle_alpha 115.34
_cell_angle_beta 105.09
_cell_angle_gamma 90.47
_symmetry_space_group_name_H-M 'P -1'
_symmetry_Int_Tables_number 2
loop_
_symmetry_equiv_pos_as_xyz
'x,y,z'
'-x,-y,-z'
loop_
_atom_site_label
_atom_site_type_symbol
_atom_site_fract_x
_atom_site_fract_y
_atom_site_fract_z
Ag1 Ag 0.120 0.125 0.240
Sn1 Sn 0.499 0.741 0.007
Pb1 Pb 0.204 0.695 0.400
```

Peak list (10 most intense, 15 to 90 degrees two-theta, in order of falling intensity)
index, 2θ/deg, I (rel.)
1 0 -2, 31.4, 100
1 0 1, 31.2, 61
1 -1 1, 30.3, 50
1 -2 0, 37.0, 44
0 2 -2, 31.6, 36
2 0 -1, 46.6, 31
0 1 -3, 38.5, 29
0 2 -1, 28.0, 25
0 1 2, 38.3, 24
1 1 1, 39.3, 22

Starting from a structure optimized by DFT (PBE), the powder diffractogram of CaSm6Ho6 was simulated for CuKα.
Neutral-atom scattering factors, no anomalous dispersion.

Structural model:
```
data_CaSm6Ho6
_cell_length_a 6.7597
_cell_length_b 6.7597
_cell_length_c 11.3761
_cell_angle_alpha 90.00
_cell_angle_beta 90.00
_cell_angle_gamma 120.00
_symmetry_space_group_name_H-M 'P 6/m m m'
_symmetry_Int_Tables_number 191
_symmetry_space_group_name_Hall '-P 6 2'
loop_
_atom_site_label
_atom_site_type_symbol
_atom_site_fract_x
_atom_site_fract_y
_atom_site_fract_z
Ca1 Ca 0.0000 0.0000 0.0000
Sm1 Sm 0.0000 0.0000 0.3475
Sm2 Sm 0.3333 0.6667 0.0000
Sm3 Sm 0.3333 0.6667 0.5000
Ho1 Ho 0.0000 0.5000 0.2486
```

Peak list (10 most intense, 15 to 90 degrees two-theta, in order of falling intensity)
index, 2θ/deg, I (rel.)
2 0 2, 34.5, 100
1 1 2, 30.8, 57
2 0 0, 30.5, 40
1 0 4, 35.1, 35
2 2 0, 54.3, 28
0 0 4, 31.5, 23
2 1 4, 52.4, 23
1 1 0, 26.4, 21
1 1 6, 55.6, 21
2 2 4, 64.1, 18

Starting from a structure optimized by DFT (PBE), the powder diffractogram of Pr2BiC2 was simulated for CuKα.
Neutral-atom scattering factors, no anomalous dispersion.

Structural model:
```
data_Pr2BiC2
_cell_length_a 15.196
_cell_length_b 4.748
_cell_length_c 6.552
_cell_angle_alpha 90.00
_cell_angle_beta 90.33
_cell_angle_gamma 90.00
_symmetry_space_group_name_H-M 'C 1 2/c 1'
_symmetry_Int_Tables_number 15
loop_
_symmetry_equiv_pos_as_xyz
'x,y,z'
'-x,-y,-z'
'-x,y,-z+1/2'
'x,-y,z+1/2'
'x+1/2,y+1/2,z'
'-x+1/2,-y+1/2,-z'
'-x+1/2,y+1/2,-z+1/2'
'x+1/2,-y+1/2,z+1/2'
loop_
_atom_site_label
_atom_site_type_symbol
_atom_site_fract_x
_atom_site_fract_y
_atom_site_fract_z
Pr1 Pr 0.152 0.228 0.315
Bi1 Bi 0.000 0.277 0.750
C1 C 0.238 0.380 0.979
```

Peak list (10 most intense, 15 to 90 degrees two-theta, in order of falling intensity)
index, 2θ/deg, I (rel.)
3 1 1, 29.2, 100
0 0 2, 27.2, 21
2 0 -2, 29.6, 15
6 0 0, 35.4, 13
0 2 0, 37.9, 13
5 1 -1, 37.7, 12
1 1 3, 46.2, 10
0 2 2, 47.3, 10
3 3 1, 63.2, 9
6 0 2, 45.4, 9

Starting from a structure optimized by DFT (PBE), the powder diffractogram of Tb3Si2Pd2Au4 was simulated for CuKα.
Neutral-atom scattering factors, no anomalous dispersion.

Structural model:
```
data_Tb3Si2Pd2Au4
_cell_length_a 3.990
_cell_length_b 3.990
_cell_length_c 28.781
_cell_angle_alpha 90.00
_cell_angle_beta 90.00
_cell_angle_gamma 90.00
_symmetry_space_group_name_H-M 'I 4/m m m'
_symmetry_Int_Tables_number 139
_symmetry_space_group_name_Hall '-I 4 2'
loop_
_atom_site_label
_atom_site_type_symbol
_atom_site_fract_x
_atom_site_fract_y
_atom_site_fract_z
Tb1 Tb 0.000 0.000 0.000
Tb2 Tb 0.000 0.000 0.178
Si1 Si 0.000 0.000 0.362
Pd1 Pd 0.000 0.000 0.278
Au1 Au 0.000 0.500 0.081
```

Peak list (10 most intense, 15 to 90 degrees two-theta, in order of falling intensity)
index, 2θ/deg, I (rel.)
1 1 6, 37.0, 100
2 0 0, 45.5, 50
1 1 2, 32.3, 47
1 0 11, 41.3, 28
1 1 4, 34.1, 28
3 1 6, 78.4, 23
1 1 18, 67.3, 19
2 0 12, 60.4, 19
0 0 12, 37.5, 18
0 0 6, 18.5, 18